1.
Starting from a GGA-PBE-relaxed structure, the powder XRD pattern of LiBAsBr2 was calculated for copper Kα.

Largest 10 diffraction maxima, by angle, 2θ = 10–80°:
2θ/deg  I/Imax
16.76  31
23.79  11
27.85  11
32.68  100
33.89  52
45.04  11
48.69  18
57.54  22
59.88  34
68.48  13

```
LiBAsBr2
1.0
5.2895 0.0000 0.0000
0.0000 5.2895 0.0000
0.0000 0.0000 4.0257
Li B As Br
1 1 1 2
Cartesian
0.0000 0.0000 0.0000
2.6448 2.6448 2.0128
2.6448 2.6448 0.0000
0.0000 2.6448 2.0128
2.6448 0.0000 2.0128
```

2.
Starting from a GGA-PBE-relaxed structure, the powder XRD pattern of PrS14I was calculated for copper Kα.

Largest 10 diffraction maxima, by angle, 2θ = 10–80°:
2θ/deg  I/Imax
10.60  51
11.03  100
21.76  19
23.07  36
27.05  16
31.59  29
33.95  15
34.60  17
40.08  21
41.47  14

```
PrS14I
1.0
8.7747 -8.3450 0.0000
8.7747 8.3450 0.0000
-3.3927 0.0000 7.6503
Pr S I
2 28 2
Cartesian
0.0000 0.0000 0.0000
-1.6963 0.0000 3.8252
1.5728 1.5483 1.9914
-0.8888 1.0922 6.5639
7.2173 5.6859 0.0810
5.5056 5.8813 4.9164
0.8075 -1.0922 2.7387
6.9547 5.8813 6.5591
-0.1235 -1.5483 5.8166
8.6357 5.6859 3.7442
2.6796 0.4231 5.9463
4.3759 -0.4231 2.1212
5.9653 0.2245 1.1966
5.7482 1.3466 4.8517
4.2689 -0.2245 5.0218
6.7121 1.3466 6.6238
7.4446 -1.3466 1.0265
9.8877 0.2245 2.6286
8.4084 -1.3466 2.7986
8.1914 -0.2245 6.4538
9.7808 0.4231 5.5292
11.4771 -0.4231 1.7040
5.5210 -5.6859 3.9062
14.2801 1.5483 1.8337
7.2020 -5.8813 1.0912
13.3491 1.0922 4.9116
8.6510 -5.8813 2.7339
6.9394 -5.6859 7.5694
15.0455 -1.0922 1.0864
12.5838 -1.5483 5.6589
7.9265 3.6044 1.9126
6.2302 -3.6044 5.7378
```

3.
Starting from a GGA-PBE-relaxed structure, the powder XRD pattern of Dy4Co2Sb was calculated for copper Kα.

Largest 10 diffraction maxima, by angle, 2θ = 10–80°:
2θ/deg  I/Imax
19.56  41
27.79  56
27.97  81
31.19  71
31.51  89
37.08  100
39.71  32
47.19  37
49.60  37
51.34  27

```
Dy4Co2Sb
1.0
-4.4839 4.5386 4.5402
4.4839 -4.5386 4.5402
4.4839 4.5386 -4.5402
Dy Co Sb
8 4 2
Cartesian
6.4443 -1.6432 2.2641
0.2822 0.0025 0.6275
0.2822 -0.0025 3.9127
6.4443 1.6432 2.2761
-0.2822 4.5362 0.6275
2.5236 2.8954 2.2761
2.5236 6.1819 2.2641
-0.2822 4.5411 3.9127
0.0000 6.8080 2.2670
6.7259 0.0053 0.0000
2.2420 4.5333 0.0000
0.0000 2.2693 2.2733
3.3671 0.0000 2.2701
1.1169 0.0000 6.8103
```

4.
Starting from a GGA-PBE-relaxed structure, the powder XRD pattern of Na2SrAlS4 was calculated for copper Kα.

Largest 10 diffraction maxima, by angle, 2θ = 10–80°:
2θ/deg  I/Imax
17.42  42
29.67  100
30.22  68
34.61  23
35.26  48
38.25  18
39.43  20
46.73  58
55.43  21
59.32  16

```
Na2SrAlS4
1.0
7.2003 0.0000 0.0000
0.0000 7.2003 0.0000
0.0000 0.0000 7.4687
Na Sr Al S
4 2 2 8
Cartesian
0.0000 3.6001 1.8672
0.0000 3.6001 5.6015
3.6001 0.0000 1.8672
3.6001 0.0000 5.6015
0.0000 0.0000 0.0000
3.6001 3.6001 3.7343
0.0000 0.0000 3.7343
3.6001 3.6001 0.0000
1.3425 1.3425 2.5053
1.3425 5.8578 4.9634
2.2576 2.2576 6.2397
2.2576 4.9427 1.2290
4.9427 2.2576 1.2290
4.9427 4.9427 6.2397
5.8578 1.3425 4.9634
5.8578 5.8578 2.5053
```

5.
Starting from a GGA-PBE-relaxed structure, the powder XRD pattern of LiLa4W was calculated for copper Kα.

Largest 10 diffraction maxima, by angle, 2θ = 10–80°:
2θ/deg  I/Imax
17.10  36
19.77  13
28.10  15
33.08  100
34.59  54
40.16  11
52.97  35
58.09  30
68.50  12
69.40  21

```
LiLa4W
1.0
0.0000 4.4912 4.4912
4.4912 0.0000 4.4912
4.4912 4.4912 0.0000
Li La W
1 4 1
Cartesian
0.0000 0.0000 0.0000
3.3866 3.3866 3.3866
5.5958 5.5958 3.3866
5.5958 3.3866 5.5958
3.3866 5.5958 5.5958
6.7368 6.7368 6.7368
```